Sr3In2N4: computed powder diffractogram (a wavelength of 1.5418 Å), based on a structure optimized by DFT (GGA-PBE).
Neutral-atom scattering factors, no anomalous dispersion.

Atomic structure:
```
Sr3In2N4
1.0
5.791 -4.611 0.000
5.791 4.611 0.000
-0.086 0.000 6.176
Sr In N
6 4 8
direct
0.103 0.897 0.750
0.249 0.523 0.446
0.477 0.751 0.054
0.523 0.249 0.946
0.751 0.477 0.554
0.897 0.103 0.250
0.086 0.323 0.899
0.323 0.086 0.399
0.677 0.914 0.601
0.914 0.677 0.101
0.068 0.242 0.556
0.215 0.560 0.990
0.242 0.068 0.056
0.440 0.785 0.510
0.560 0.215 0.490
0.758 0.932 0.944
0.785 0.440 0.010
0.932 0.758 0.444
```

Peak list (6 most intense, 15° ≤ 2θ ≤ 90°, in order of falling intensity)
d 3.103, I = 100
d 2.247, I = 37
d 2.848, I = 27
d 2.305, I = 19
d 2.145, I = 14
d 2.098, I = 12